Theoretical powder diffraction line list
Compound: V4CoCuO12
Radiation: λ = 1.5418 Å (Cu Kα)
Structure: the GGA+U geometry in Alexandria

Most intense lines, 10 to 90 degrees two-theta, most intense first:
h k l  2theta  I/Imax
2 2 -1  28.6  100
0 0 2  31.6  66
3 1 0  30.3  66
0 2 0  19.9  50
1 1 -1  18.4  40
1 1 1  23.1  30
1 1 0  13.7  29
2 2 1  34.9  28
2 4 -1  45.7  25
2 2 -3  50.3  22
5 3 -1  55.8  21
3 1 2  51.1  15

Crystal structure
Lattice parameters (Å, degrees): 9.8999 8.9082 5.9753 90.00 108.74 90.00
Space group C2 (No. 5)
Asymmetric unit:
V: 0.1997 0.0000 0.4835 (multiplicity 4)
V: 0.2044 0.8201 0.9901 (multiplicity 4)
Co: 0.0000 0.3282 0.5000 (multiplicity 2)
Cu: 0.0000 0.4963 0.0000 (multiplicity 2)
O: 0.1111 0.3346 0.8995 (multiplicity 4)
O: 0.1201 0.4948 0.4234 (multiplicity 4)
O: 0.1362 0.9218 0.1890 (multiplicity 4)
O: 0.1417 0.8960 0.6974 (multiplicity 4)
O: 0.1441 0.1792 0.4744 (multiplicity 4)
O: 0.1476 0.6406 0.9859 (multiplicity 4)